[1]
Na2CdInTe4: calculated X-ray powder pattern (λ = 1.5418 Å (Cu Kα)), based on the PBE geometry in Alexandria.
Neutral-atom scattering factors, no anomalous dispersion.

Crystal structure
```
data_Na2CdInTe4
_symmetry_space_group_name_H-M 'I -4 2 m'
_symmetry_Int_Tables_number 121
_symmetry_space_group_name_Hall 'I -4 2'
_cell_length_a 8.0782
_cell_length_b 8.0782
_cell_length_c 7.5515
_cell_angle_alpha 90.00
_cell_angle_beta 90.00
_cell_angle_gamma 90.00
loop_
_atom_site_label
_atom_site_fract_x
_atom_site_fract_y
_atom_site_fract_z
_atom_site_occupancy
Na1 0.0000 0.5000 0.0000 1
Cd1 0.0000 0.0000 0.0000 1
In1 0.0000 0.0000 0.5000 1
Te1 0.1894 0.1894 0.2551 1
```

Most intense lines, 2θ = 5–70°, in order of rising 2θ:
hkl 1 1 0, 15.5°, 5.712 Å, I 46
hkl 2 1 1, 27.4°, 3.259 Å, I 77
hkl 2 2 0, 31.3°, 2.856 Å, I 39
hkl 2 0 2, 32.5°, 2.758 Å, I 100
hkl 3 1 2, 42.7°, 2.116 Å, I 28
hkl 2 1 3, 43.8°, 2.065 Å, I 21
hkl 3 3 0, 47.8°, 1.904 Å, I 14
hkl 4 1 1, 48.0°, 1.896 Å, I 34
hkl 2 2 4, 58.6°, 1.575 Å, I 13
hkl 4 1 3, 59.8°, 1.546 Å, I 17



[2]
PuZnBr: calculated X-ray powder pattern (λ = 1.5418 Å (Cu Kα)), based on the PBE geometry in Alexandria.
Neutral-atom scattering factors, no anomalous dispersion.

Crystal structure
```
data_PuZnBr
_symmetry_space_group_name_H-M 'P -1'
_symmetry_Int_Tables_number 2
_cell_length_a 3.6030
_cell_length_b 5.7067
_cell_length_c 8.0318
_cell_angle_alpha 73.01
_cell_angle_beta 79.04
_cell_angle_gamma 71.69
loop_
_symmetry_equiv_pos_as_xyz
'x,y,z'
'-x,-y,-z'
loop_
_atom_site_label
_atom_site_fract_x
_atom_site_fract_y
_atom_site_fract_z
_atom_site_occupancy
Pu1 0.1883 0.1409 0.4800 1
Zn1 0.4773 0.3897 0.6844 1
Br1 0.2062 0.7972 0.8400 1
```

Most intense lines, 2θ = 5–70°, in order of rising 2θ:
hkl 0 0 1, 11.6°, 7.636 Å, I 100
hkl 0 1 0, 16.9°, 5.247 Å, I 13
hkl 0 1 1, 18.0°, 4.937 Å, I 21
hkl 0 1 -2, 32.3°, 2.775 Å, I 20
hkl 1 0 2, 33.3°, 2.688 Å, I 11
hkl 0 1 3, 35.2°, 2.552 Å, I 32
hkl -1 1 1, 36.7°, 2.449 Å, I 17
hkl 1 2 2, 37.3°, 2.410 Å, I 16
hkl 2 1 1, 50.7°, 1.800 Å, I 9
hkl 1 3 0, 51.8°, 1.766 Å, I 11



[3]
Rb2BaGeBr6: calculated X-ray powder pattern (λ = 1.5418 Å (Cu Kα)), based on the PBE geometry in Alexandria.
Neutral-atom scattering factors, no anomalous dispersion.

Crystal structure
```
data_Rb2BaGeBr6
_symmetry_space_group_name_H-M 'P 1 21/c 1'
_symmetry_Int_Tables_number 14
_cell_length_a 8.0539
_cell_length_b 8.4245
_cell_length_c 13.9958
_cell_angle_alpha 90.00
_cell_angle_beta 124.18
_cell_angle_gamma 90.00
loop_
_symmetry_equiv_pos_as_xyz
'x,y,z'
'-x,-y,-z'
'-x,y+1/2,-z+1/2'
'x,-y+1/2,z+1/2'
loop_
_atom_site_label
_atom_site_fract_x
_atom_site_fract_y
_atom_site_fract_z
_atom_site_occupancy
Rb1 0.2224 0.0705 0.2471 1
Ba1 0.5000 0.0000 0.0000 1
Ge1 0.0000 0.0000 0.5000 1
Br1 0.1232 0.2169 0.9428 1
Br2 0.2316 0.6866 0.9467 1
Br3 0.3384 0.0325 0.7319 1
```

Most intense lines, 2θ = 5–70°, in order of rising 2θ:
hkl 1 1 -1, 15.2°, 5.813 Å, I 56
hkl 1 1 1, 21.5°, 4.129 Å, I 36
hkl 1 1 -3, 21.8°, 4.081 Å, I 39
hkl 2 1 -1, 25.6°, 3.481 Å, I 52
hkl 1 0 -4, 25.8°, 3.457 Å, I 59
hkl 2 2 -2, 30.7°, 2.911 Å, I 100
hkl 0 0 4, 30.9°, 2.894 Å, I 57
hkl 1 3 -2, 34.7°, 2.585 Å, I 56
hkl 3 1 -5, 38.7°, 2.326 Å, I 50
hkl 2 2 -6, 44.4°, 2.039 Å, I 34



[4]
Ca2Pu2O7: calculated X-ray powder pattern (λ = 1.5418 Å (Cu Kα)), based on the PBE geometry in Alexandria.
Neutral-atom scattering factors, no anomalous dispersion.

Crystal structure
Lattice parameters (Å, degrees): 10.9733 10.9733 10.9733 90.00 90.00 90.00
Space group Fd-3m (No. 227, origin choice 2)
Inequivalent atoms, fractional coordinates:
Ca  0.0000  0.0000  0.0000 x16
Pu  0.0000  0.0000  0.5000 x16
O  0.0772  0.3750  0.8750 x48
O  0.1250  0.1250  0.1250 x8

Most intense lines, 2θ = 5–70°, in order of rising 2θ:
hkl 1 1 1, 14.0°, 6.335 Å, I 64
hkl 3 1 1, 26.9°, 3.309 Å, I 47
hkl 2 2 2, 28.2°, 3.168 Å, I 100
hkl 4 0 0, 32.6°, 2.743 Å, I 35
hkl 3 3 1, 35.7°, 2.517 Å, I 12
hkl 3 3 3, 42.8°, 2.112 Å, I 16
hkl 4 4 0, 46.8°, 1.940 Å, I 48
hkl 5 3 1, 49.1°, 1.855 Å, I 17
hkl 6 2 2, 55.6°, 1.654 Å, I 46
hkl 7 3 1, 65.3°, 1.429 Å, I 13



[5]
Rb3Pu2PbSe6: calculated X-ray powder pattern (λ = 1.5418 Å (Cu Kα)), based on the PBE geometry in Alexandria.
Neutral-atom scattering factors, no anomalous dispersion.

Crystal structure
```
data_Rb3Pu2PbSe6
_symmetry_space_group_name_H-M 'C 1 2/m 1'
_symmetry_Int_Tables_number 12
_cell_length_a 7.5593
_cell_length_b 13.0826
_cell_length_c 8.3133
_cell_angle_alpha 90.00
_cell_angle_beta 107.65
_cell_angle_gamma 90.00
loop_
_symmetry_equiv_pos_as_xyz
'x,y,z'
'-x,-y,-z'
'-x,y,-z'
'x,-y,z'
'x+1/2,y+1/2,z'
'-x+1/2,-y+1/2,-z'
'-x+1/2,y+1/2,-z'
'x+1/2,-y+1/2,z'
loop_
_atom_site_label
_atom_site_fract_x
_atom_site_fract_y
_atom_site_fract_z
_atom_site_occupancy
Rb1 0.0000 0.0000 0.0000 1
Rb2 0.0000 0.3404 0.0000 1
Pu1 0.0000 0.1673 0.5000 1
Pb1 0.0000 0.5000 0.5000 1
Se1 0.2101 0.0000 0.6952 1
Se2 0.2439 0.3223 0.6975 1
```

Most intense lines, 2θ = 5–70°, in order of rising 2θ:
hkl 0 0 1, 11.2°, 7.922 Å, I 46
hkl 2 0 0, 24.7°, 3.601 Å, I 16
hkl 2 0 -2, 28.0°, 3.188 Å, I 100
hkl 2 0 -3, 35.6°, 2.525 Å, I 16
hkl 2 0 2, 38.6°, 2.335 Å, I 35
hkl 3 3 -1, 41.4°, 2.181 Å, I 36
hkl 0 6 1, 43.0°, 2.103 Å, I 11
hkl 4 0 0, 50.7°, 1.800 Å, I 19
hkl 3 3 3, 63.4°, 1.466 Å, I 12
hkl 5 3 -3, 67.4°, 1.389 Å, I 10



[6]
Rb3PuP2S8: calculated X-ray powder pattern (λ = 1.5418 Å (Cu Kα)), based on the PBE geometry in Alexandria.
Neutral-atom scattering factors, no anomalous dispersion.

Crystal structure
```
data_Rb3PuP2S8
_symmetry_space_group_name_H-M 'P -3 m 1'
_symmetry_Int_Tables_number 164
_symmetry_space_group_name_Hall '-P 3 2"'
_cell_length_a 7.0850
_cell_length_b 7.0850
_cell_length_c 9.4127
_cell_angle_alpha 90.00
_cell_angle_beta 90.00
_cell_angle_gamma 120.00
loop_
_atom_site_label
_atom_site_fract_x
_atom_site_fract_y
_atom_site_fract_z
_atom_site_occupancy
Rb1 0.0000 0.0000 0.0000 1
Rb2 0.3333 0.6667 0.6691 1
Pu1 0.0000 0.0000 0.5000 1
P1 0.3333 0.6667 0.2423 1
S1 0.1739 0.3477 0.3189 1
S2 0.3333 0.6667 0.0332 1
```

Most intense lines, 2θ = 5–70°, in order of rising 2θ:
hkl 0 0 1, 9.4°, 9.413 Å, I 58
hkl 1 0 0, 14.4°, 6.136 Å, I 39
hkl 1 0 1, 17.3°, 5.140 Å, I 34
hkl 0 1 2, 23.8°, 3.734 Å, I 97
hkl 1 1 0, 25.1°, 3.543 Å, I 100
hkl 2 0 2, 34.9°, 2.570 Å, I 73
hkl 0 2 3, 41.1°, 2.195 Å, I 38
hkl 1 2 2, 43.5°, 2.080 Å, I 37
hkl 0 2 4, 48.8°, 1.866 Å, I 28
hkl 2 2 0, 51.6°, 1.771 Å, I 28